BaTmAg2Te4: calculated XRD peak list (Cu Kα), based on a DFT-relaxed cell (PBE, Alexandria).

Crystal structure
```
BaTmAg2Te4
1.0
7.529 0.000 0.000
0.000 8.051 0.000
0.000 0.000 8.984
Ba Tm Ag Te
2 2 4 8
Cartesian
0.000 0.000 0.000
3.764 4.026 4.492
0.000 0.000 4.492
3.764 4.026 0.000
0.000 4.026 1.541
0.000 4.026 7.443
3.764 0.000 2.951
3.764 0.000 6.033
1.618 1.746 2.776
1.618 6.306 6.208
2.146 2.280 7.268
2.146 5.771 1.716
5.382 2.280 1.716
5.382 5.771 7.268
5.911 1.746 6.208
5.911 6.306 2.776
```

Top 8 peaks for 2θ from 10° to 90°, sorted by position:
hkl 0 1 1, 14.8°, d 5.996, rel. 22
hkl 1 1 2, 25.6°, d 3.479, rel. 100
hkl 0 2 2, 29.8°, d 2.998, rel. 33
hkl 2 0 2, 31.0°, d 2.885, rel. 29
hkl 2 2 0, 32.6°, d 2.750, rel. 88
hkl 1 3 2, 41.0°, d 2.203, rel. 31
hkl 3 1 2, 42.8°, d 2.114, rel. 27
hkl 1 1 4, 43.5°, d 2.079, rel. 33